Record 1
Starting from a DFT-relaxed cell (PBE, Alexandria), the X-ray diffraction stick pattern of KSn2Br6 was simulated for Cu Kα (weighted mean of Kα1 and Kα2).
Kinematic intensities with the Lorentz-polarization factor, no thermal factor.

Structure:
Cell lengths 13.8992, 5.5184, 10.7413 Å; angles 90.00, 117.88, 90.00 degrees
Space group C2/m (No. 12)
Unique sites:
K (0.0000, 0.0000, 0.0000) (multiplicity 2)
Sn (0.1826, 0.0000, 0.6425) (multiplicity 4)
Br (0.0114, 0.0000, 0.6906) (multiplicity 4)
Br (0.1643, 0.5000, 0.0878) (multiplicity 4)
Br (0.1950, 0.5000, 0.5989) (multiplicity 4)

Principal peaks in the range 15° ≤ 2θ ≤ 90°, most intense first:
- (1 1 -1), 18.30 deg, I = 100
- (0 2 0), 32.45 deg, I = 99
- (4 0 -2), 26.17 deg, I = 96
- (5 1 -3), 37.95 deg, I = 76
- (2 0 -2), 17.47 deg, I = 69
- (2 0 2), 28.64 deg, I = 67

***

Record 2
Starting from a DFT-relaxed cell (PBE, Alexandria), the X-ray diffraction stick pattern of K2SnBr4 was simulated for Cu Kα (weighted mean of Kα1 and Kα2).
Kinematic intensities with the Lorentz-polarization factor, no thermal factor.

Structure:
Cell lengths 5.8278, 5.8278, 16.9085 Å; angles 90.00, 90.00, 90.00 degrees
Space group I4/mmm (No. 139)
Unique sites:
K (0.0000, 0.0000, 0.1373) (multiplicity 4)
Sn (0.0000, 0.0000, 0.5000) (multiplicity 2)
Br (0.0000, 0.0000, 0.3260) (multiplicity 4)
Br (0.0000, 0.5000, 0.0000) (multiplicity 4)

Principal peaks in the range 15° ≤ 2θ ≤ 90°, most intense first:
- (2 0 0), 30.68 deg, I = 100
- (2 2 0), 43.90 deg, I = 73
- (1 0 1), 16.09 deg, I = 66
- (2 0 6), 44.74 deg, I = 56
- (1 0 5), 30.56 deg, I = 50
- (0 0 6), 31.75 deg, I = 37

***

Record 3
Starting from a DFT-relaxed cell (PBE, Alexandria), the X-ray diffraction stick pattern of KSr2SnBr8 was simulated for Cu Kα (weighted mean of Kα1 and Kα2).
Kinematic intensities with the Lorentz-polarization factor, no thermal factor.

Structure:
Cell lengths 6.8808, 9.4106, 7.1424 Å; angles 90.00, 90.04, 90.00 degrees
Space group P2/m (No. 10)
Unique sites:
K (0.0000, 0.0000, 0.0000) (multiplicity 1)
Sr (0.5000, 0.2503, 0.5000) (multiplicity 2)
Sn (0.0000, 0.5000, 0.0000) (multiplicity 1)
Br (0.2345, 0.2851, 0.1508) (multiplicity 4)
Br (0.2469, 0.5000, 0.6693) (multiplicity 2)
Br (0.2687, 0.0000, 0.6399) (multiplicity 2)

Principal peaks in the range 15° ≤ 2θ ≤ 90°, most intense first:
- (1 2 -1), 26.12 deg, I = 100
- (2 2 1), 34.66 deg, I = 86
- (1 0 1), 17.90 deg, I = 64
- (0 2 3), 42.55 deg, I = 59
- (1 0 2), 28.15 deg, I = 59
- (0 4 0), 38.25 deg, I = 27

***

Record 4
Starting from a DFT-relaxed cell (PBE, Alexandria), the X-ray diffraction stick pattern of K2TlSnBr4 was simulated for Cu Kα (weighted mean of Kα1 and Kα2).
Kinematic intensities with the Lorentz-polarization factor, no thermal factor.

Structure:
Cell lengths 6.6868, 6.6868, 13.1669 Å; angles 90.00, 90.00, 90.00 degrees
Space group I-4m2 (No. 119)
Unique sites:
K (0.0000, 0.0000, 0.0000) (multiplicity 2)
K (0.0000, 0.5000, 0.2500) (multiplicity 2)
Tl (0.0000, 0.5000, 0.7500) (multiplicity 2)
Sn (0.0000, 0.0000, 0.5000) (multiplicity 2)
Br (0.0000, 0.0000, 0.2628) (multiplicity 4)
Br (0.0000, 0.5000, 0.0029) (multiplicity 4)

Principal peaks in the range 15° ≤ 2θ ≤ 90°, most intense first:
- (2 0 0), 26.66 deg, I = 100
- (2 0 4), 38.37 deg, I = 73
- (0 0 4), 27.09 deg, I = 47
- (2 2 4), 47.34 deg, I = 40
- (2 2 0), 38.06 deg, I = 38
- (4 2 4), 68.98 deg, I = 26

***

Record 5
Starting from a DFT-relaxed cell (PBE, Alexandria), the X-ray diffraction stick pattern of KTmSn2Br8 was simulated for Cu Kα (weighted mean of Kα1 and Kα2).
Kinematic intensities with the Lorentz-polarization factor, no thermal factor.

Structure:
Cell lengths 6.7976, 7.1908, 9.0488 Å; angles 90.00, 89.95, 88.64 degrees
Space group P-1 (No. 2)
Unique sites:
K (0.0000, 0.0000, 0.0000) (multiplicity 1)
Tm (0.0000, 0.0000, 0.5000) (multiplicity 1)
Sn (0.4999, 0.5001, 0.2500) (multiplicity 2)
Br (0.2347, 0.3160, 0.5004) (multiplicity 2)
Br (0.2396, 0.8441, 0.7179) (multiplicity 2)
Br (0.2403, 0.8448, 0.2818) (multiplicity 2)
Br (0.2744, 0.3661, 0.0000) (multiplicity 2)

Principal peaks in the range 15° ≤ 2θ ≤ 90°, most intense first:
- (1 1 -2), 26.58 deg, I = 100
- (-2 1 2), 35.54 deg, I = 99
- (0 3 -2), 42.70 deg, I = 98
- (1 1 0), 17.75 deg, I = 95
- (2 1 2), 35.09 deg, I = 91
- (1 -1 0), 18.17 deg, I = 89

***

Record 6
Starting from a DFT-relaxed cell (PBE, Alexandria), the X-ray diffraction stick pattern of K4SrBr6 was simulated for Cu Kα (weighted mean of Kα1 and Kα2).
Kinematic intensities with the Lorentz-polarization factor, no thermal factor.

Structure:
Cell lengths 13.3057, 13.3057, 16.1855 Å; angles 90.00, 90.00, 120.00 degrees
Space group R-3c (No. 167, hexagonal axes)
Unique sites:
K (0.0000, 0.0000, 0.2500) (multiplicity 6)
K (0.0000, 0.3726, 0.2500) (multiplicity 18)
Sr (0.0000, 0.0000, 0.0000) (multiplicity 6)
Br (0.0329, 0.1984, 0.3911) (multiplicity 36)

Principal peaks in the range 15° ≤ 2θ ≤ 90°, most intense first:
- (2 1 4), 30.13 deg, I = 100
- (2 2 3), 31.60 deg, I = 93
- (1 3 1), 28.47 deg, I = 54
- (4 1 0), 35.73 deg, I = 31
- (2 1 1), 21.13 deg, I = 28
- (5 1 1), 44.12 deg, I = 21

***

Record 7
Starting from a DFT-relaxed cell (PBE, Alexandria), the X-ray diffraction stick pattern of KSrBr was simulated for Cu Kα (weighted mean of Kα1 and Kα2).
Kinematic intensities with the Lorentz-polarization factor, no thermal factor.

Structure:
Cell lengths 4.3918, 4.3918, 8.0725 Å; angles 90.00, 90.00, 120.00 degrees
Space group P3m1 (No. 156)
Unique sites:
K (0.0000, 0.0000, 0.0000) (multiplicity 1)
Sr (0.6667, 0.3333, 0.4463) (multiplicity 1)
Br (0.3333, 0.6667, 0.7134) (multiplicity 1)

Principal peaks in the range 15° ≤ 2θ ≤ 90°, most intense first:
- (1 0 1), 25.90 deg, I = 100
- (0 1 2), 32.34 deg, I = 62
- (1 1 0), 41.10 deg, I = 48
- (1 0 5), 62.50 deg, I = 21
- (0 2 1), 49.23 deg, I = 16
- (3 0 0), 74.88 deg, I = 16

***

Record 8
Starting from a DFT-relaxed cell (PBE, Alexandria), the X-ray diffraction stick pattern of KSr2Br5 was simulated for Cu Kα (weighted mean of Kα1 and Kα2).
Kinematic intensities with the Lorentz-polarization factor, no thermal factor.

Structure:
Cell lengths 4.6749, 7.7228, 16.1570 Å; angles 90.00, 90.00, 90.00 degrees
Space group Immm (No. 71)
Unique sites:
K (0.0000, 0.0000, 0.0000) (multiplicity 2)
Sr (0.0000, 0.5000, 0.1854) (multiplicity 4)
Br (0.0000, 0.2644, 0.3462) (multiplicity 8)
Br (0.0000, 0.5000, 0.0000) (multiplicity 2)

Principal peaks in the range 15° ≤ 2θ ≤ 90°, most intense first:
- (1 2 1), 30.53 deg, I = 100
- (1 2 3), 34.42 deg, I = 65
- (1 1 0), 22.23 deg, I = 48
- (1 0 3), 25.23 deg, I = 45
- (0 0 6), 33.27 deg, I = 42
- (0 2 4), 32.07 deg, I = 39